# SrZn2Hg
Theoretical powder XRD pattern, Cu Kα. Input: a cell relaxed with GGA-PBE.
Intensities are scaled so that the largest is 1000.

Top 6 peaks for 2θ = 15–90°, by intensity:
(hkl)  2θ/deg  Rel. int.
1 1 1  33.3  1000
1 0 1  27.3  790
0 1 2  38.5  736
1 0 0  21.6  555
2 0 0  44.0  430
2 1 2  59.9  398

Structure:
abc: 4.1159 4.7662 5.3683
angles: 90.00 90.00 90.00
Element x y z (fractional)
Sr: 0.0000 0.0000 0.0000
Zn: 0.5000 0.5000 0.2464
Zn: 0.5000 0.5000 0.7536
Hg: 0.5000 0.0000 0.5000

# SmDy2TmS4
Theoretical powder XRD pattern, Cu Kα. Input: a cell relaxed with GGA-PBE.
Intensities are scaled so that the largest is 1000.

Top 6 peaks for 2θ = 15–90°, by intensity:
(hkl)  2θ/deg  Rel. int.
1 1 1  32.3  1000
1 1 -1  28.1  403
1 1 -3  46.2  242
3 1 -1  46.5  238
0 0 2  27.6  211
2 0 0  27.8  206

Structure:
abc: 6.7755 3.8770 6.8406
angles: 90.00 108.98 90.00
Element x y z (fractional)
Sm: 0.0000 0.0000 0.0000
Dy: 0.5000 0.0000 0.5000
Dy: 0.5000 0.5000 0.0000
Tm: 0.0000 0.5000 0.5000
S: 0.2487 0.0000 0.7423
S: 0.2543 0.5000 0.2588
S: 0.7457 0.5000 0.7412
S: 0.7513 0.0000 0.2577